# Nd3YTh
Computed PXRD pattern, a wavelength of 1.5418 Å. Input: DFT lattice parameters and positions (PBE).

Principal peaks in the range 10° ≤ 2θ ≤ 90°, in order of rising 2θ:
(hkl)	2theta	d (Å)	I (rel.)
2 0 0	13.37	6.621	287
2 4 0	29.54	3.024	512
4 2 0	30.02	2.976	459
1 3 2	31.23	2.864	1000
3 1 2	31.54	2.837	928
4 4 0	37.94	2.372	233
3 7 2	57.05	1.614	223
7 3 2	58.02	1.590	255
4 4 4	62.12	1.494	145
6 0 4	64.21	1.450	146

Structure:
Cell: 13.2413 13.5986 7.6963 Å, 90.00 90.00 90.00°
Space group Cmce (No. 64)
Symmetry-distinct sites (fractional):
1 Nd 0.0000 0.0936 0.1398 x8
2 Nd 0.1482 0.2292 0.8807 x16
3 Y 0.2500 0.0176 0.2500 x8
4 Th 0.0000 0.1045 0.5845 x8